[1]
Ce3FeHg: simulated X-ray diffraction stick pattern (Cu Kα), based on a cell relaxed with PBE.

Principal peaks in the range 15° ≤ 2θ ≤ 90°, in order of falling intensity:
| 2θ (°) | d/Å | intensity | index |
| --- | --- | --- | --- |
| 34.21 | 2.621 | 100 | 2 1 -1 |
| 29.60 | 3.018 | 67 | 0 1 2 |
| 33.65 | 2.663 | 54 | 0 2 0 |
| 29.22 | 3.056 | 26 | 1 0 2 |
| 31.73 | 2.820 | 23 | 2 0 1 |
| 60.54 | 1.529 | 20 | 2 3 -1 |
| 46.92 | 1.937 | 17 | 2 2 1 |
| 42.01 | 2.151 | 16 | 1 1 -3 |

Crystal structure
```
data_Ce3FeHg
_cell_length_a 6.3700
_cell_length_b 5.3267
_cell_length_c 7.3562
_cell_angle_alpha 90.00
_cell_angle_beta 95.15
_cell_angle_gamma 90.00
_space_group_name_H-M_alt 'P 1 21/m 1'
_space_group_IT_number 11
loop_
_space_group_symop_operation_xyz
'x,y,z'
'-x,-y,-z'
'-x,y+1/2,-z'
'x,-y+1/2,z'
loop_
_atom_site_label
_atom_site_fract_x
_atom_site_fract_y
_atom_site_fract_z
_atom_site_occupancy
Ce1 0.0148 0.2500 0.3174 1
Ce2 0.3399 0.2500 0.9073 1
Ce3 0.3960 0.7500 0.5473 1
Fe1 0.1864 0.2500 0.6322 1
Hg1 0.1740 0.7500 0.1356 1
```

---

[2]
Ce7FeI12: simulated X-ray diffraction stick pattern (Cu Kα), based on a cell relaxed with PBE.

Principal peaks in the range 15° ≤ 2θ ≤ 90°, in order of falling intensity:
| 2θ (°) | d/Å | intensity | index |
| --- | --- | --- | --- |
| 27.99 | 3.188 | 100 | 1 0 -3 |
| 28.13 | 3.173 | 98 | 0 3 -1 |
| 28.80 | 3.100 | 81 | 3 -1 0 |
| 40.82 | 2.211 | 58 | 3 2 -1 |
| 40.22 | 2.242 | 37 | -1 3 2 |
| 39.98 | 2.255 | 36 | 1 3 -4 |
| 24.51 | 3.632 | 32 | 2 1 -2 |
| 50.30 | 1.814 | 31 | 4 2 -4 |

Crystal structure
```
data_Ce7FeI12
_cell_length_a 9.7997
_cell_length_b 10.0279
_cell_length_c 10.0937
_cell_angle_alpha 107.89
_cell_angle_beta 107.34
_cell_angle_gamma 107.22
_space_group_name_H-M_alt 'P 1'
_space_group_IT_number 1
loop_
_space_group_symop_operation_xyz
'x,y,z'
loop_
_atom_site_label
_atom_site_fract_x
_atom_site_fract_y
_atom_site_fract_z
_atom_site_occupancy
Ce1 0.0000 0.0000 0.0000 1
Ce2 0.0616 0.2189 0.6276 1
Ce3 0.1420 0.4264 0.3487 1
Ce4 0.2979 0.1381 0.4040 1
Ce5 0.5347 0.6152 0.8184 1
Ce6 0.7562 0.0803 0.2203 1
Ce7 0.9207 0.7936 0.2782 1
Fe1 0.0460 0.1114 0.3188 1
I1 0.1079 0.3358 0.9989 1
I2 0.1800 0.5826 0.6997 1
I3 0.2618 0.7988 0.3936 1
I4 0.3540 0.0392 0.0949 1
I5 0.4211 0.2648 0.7779 1
I6 0.5082 0.4975 0.4744 1
I7 0.5541 0.7240 0.1585 1
I8 0.6421 0.9611 0.8499 1
I9 0.7073 0.1810 0.5317 1
I10 0.8000 0.4211 0.2351 1
I11 0.8842 0.6366 0.9278 1
I12 0.9521 0.8832 0.6278 1
```